Li6V5O12: theoretical powder diffractogram (Cu Ka), based on a GGA+U-relaxed structure.

Cell and atoms:
Unit cell a=5.1855 b=8.8055 c=9.9260 alpha=98.41 beta=95.63 gamma=90.16
Atoms (fractional coordinates):
Li 0.0000 0.0000 0.0000
Li 0.0015 0.3561 0.0046
Li 0.1373 0.8101 0.7745
Li 0.2404 0.9398 0.5271
Li 0.2667 0.6130 0.5388
Li 0.2781 0.2639 0.5328
Li 0.4860 0.8432 0.0051
Li 0.5067 0.1877 0.9988
Li 0.5290 0.5188 0.0089
Li 0.6342 0.3081 0.7621
Li 0.7669 0.7794 0.5316
Li 0.7685 0.4247 0.5393
V 0.1101 0.1398 0.7575
V 0.1559 0.4829 0.7790
V 0.3767 0.7310 0.2658
V 0.3832 0.0641 0.2678
V 0.3855 0.3926 0.2716
V 0.6151 0.9797 0.7583
V 0.6617 0.6438 0.7805
V 0.8787 0.8963 0.2659
V 0.8835 0.2292 0.2704
V 0.8839 0.5644 0.2695
O 0.0719 0.7500 0.3814
O 0.0774 0.4148 0.3801
O 0.0789 0.0808 0.3756
O 0.1974 0.2201 0.1550
O 0.1988 0.8774 0.1560
O 0.2142 0.5434 0.1645
O 0.2984 0.3366 0.8840
O 0.3178 0.0120 0.8780
O 0.3529 0.6531 0.8838
O 0.4183 0.1153 0.6534
O 0.4526 0.4761 0.6596
O 0.4722 0.7981 0.6538
O 0.5546 0.8998 0.3760
O 0.5629 0.5800 0.3797
O 0.5651 0.2600 0.3828
O 0.6819 0.7089 0.1607
O 0.6890 0.3782 0.1567
O 0.6914 0.0459 0.1555
O 0.7890 0.8282 0.8767
O 0.8143 0.1449 0.8768
O 0.8352 0.5009 0.8821
O 0.9352 0.9638 0.6555
O 0.9568 0.6088 0.6604
O 0.9821 0.2924 0.6606

Main lines, by intensity (10 to 90 degrees two-theta):
| 2theta | d [Å] | intensity |
| --- | --- | --- |
| 18.16 | 4.885 | 100 |
| 43.30 | 2.090 | 55 |
| 42.48 | 2.128 | 30 |
| 35.72 | 2.514 | 22 |
| 62.26 | 1.491 | 15 |
| 62.42 | 1.488 | 14 |
| 35.08 | 2.558 | 12 |
| 57.04 | 1.615 | 9 |
| 63.38 | 1.468 | 7 |
| 62.12 | 1.494 | 7 |